La6Ir3Rh: computed XRD peak list (Cu Kα (λ = 1.5418 Å)), based on a structure optimized by DFT (GGA-PBE).

Cell and atoms:
Cell: 11.957 4.227 12.204 Å, 90.00 109.91 90.00°
Space group P2_1/m (No. 11)
One atom of each set of equivalent atoms:
1 La 0.045 0.250 0.395 (multiplicity 2)
2 La 0.102 0.250 0.940 (multiplicity 2)
3 La 0.239 0.750 0.274 (multiplicity 2)
4 La 0.288 0.750 0.759 (multiplicity 2)
5 La 0.395 0.250 0.551 (multiplicity 2)
6 La 0.427 0.750 0.099 (multiplicity 2)
7 Ir 0.066 0.250 0.168 (multiplicity 2)
8 Ir 0.200 0.750 0.504 (multiplicity 2)
9 Ir 0.341 0.250 0.922 (multiplicity 2)
10 Rh 0.454 0.250 0.311 (multiplicity 2)

Principal peaks in the range 2θ from 10° to 90°, by angle:
two_theta	intensity	index
15.00	37	2 0 -1
24.66	58	1 1 1
29.04	54	2 1 1
29.76	69	2 0 -4
30.27	32	4 0 -2
31.91	96	3 1 0
34.51	31	1 1 3
39.01	45	4 1 -3
41.02	46	1 1 4
42.80	100	0 2 0
43.57	31	5 0 1
52.99	33	2 2 -4

NdHgRuO6: computed XRD peak list (Cu Kα (λ = 1.5418 Å)), based on a structure optimized by DFT (GGA-PBE).

Cell and atoms:
Cell: 5.224 5.764 5.799 Å, 61.46 83.09 74.92°
Space group P1 (No. 1)
One atom of each set of equivalent atoms:
1 Nd 0.000 0.000 0.000 (multiplicity 1)
2 Hg 0.472 0.311 0.359 (multiplicity 1)
3 Ru 0.961 0.666 0.682 (multiplicity 1)
4 O 0.158 0.902 0.629 (multiplicity 1)
5 O 0.179 0.360 0.936 (multiplicity 1)
6 O 0.211 0.640 0.355 (multiplicity 1)
7 O 0.736 0.764 0.905 (multiplicity 1)
8 O 0.737 0.991 0.345 (multiplicity 1)
9 O 0.796 0.457 0.631 (multiplicity 1)

Principal peaks in the range 2θ from 10° to 90°, by angle:
two_theta	intensity	index
22.10	77	1 1 0
22.42	100	1 1 1
24.78	88	1 0 -1
24.90	63	1 0 1
28.11	55	1 -1 0
28.26	41	-1 1 1
30.56	72	0 1 -1
31.12	66	0 1 2
32.17	46	0 2 1
35.60	32	2 0 0
41.61	42	2 2 1
44.58	39	2 1 2

Tb2SmNpAs4: computed XRD peak list (Cu Kα (λ = 1.5418 Å)), based on a structure optimized by DFT (GGA-PBE).

Cell and atoms:
Cell: 7.180 4.143 7.186 Å, 90.00 109.33 90.00°
Space group P2/m (No. 10)
One atom of each set of equivalent atoms:
1 Tb 0.000 0.000 0.000 (multiplicity 1)
2 Tb 0.000 0.500 0.500 (multiplicity 1)
3 Sm 0.500 0.000 0.500 (multiplicity 1)
4 Np 0.500 0.500 0.000 (multiplicity 1)
5 As 0.249 0.500 0.244 (multiplicity 2)
6 As 0.251 0.000 0.754 (multiplicity 2)

Principal peaks in the range 2θ from 10° to 90°, by angle:
two_theta	intensity	index
26.32	28	0 0 2
30.49	100	1 1 1
43.62	38	2 0 2
43.69	37	0 2 0
51.67	8	2 0 -4
54.12	13	4 0 0
54.23	13	2 2 -2
63.45	12	2 2 2
71.93	11	3 1 3
72.06	23	4 2 0
80.08	11	5 1 1
80.25	15	6 0 -2